Simulated X-ray diffraction stick pattern of NaAl6Sb7Te8Cl24 for Cu Kα X-rays, from a structure optimized by DFT (GGA-PBE).
Kinematic intensities with the Lorentz-polarization factor, no thermal factor.

The 8 most intense peaks (10° ≤ 2θ ≤ 80°), low angle first:
- 2θ = 11.39°, rel. 41
- 2θ = 23.02°, rel. 43
- 2θ = 25.00°, rel. 34
- 2θ = 28.71°, rel. 36
- 2θ = 30.15°, rel. 42
- 2θ = 30.24°, rel. 100
- 2θ = 31.15°, rel. 33
- 2θ = 31.52°, rel. 32

Atomic structure:
a b c (Å): 11.9607 12.5119 12.7483
angles (deg): 112.13 111.99 101.10
Sites, in units of the cell vectors:
Na 0.0000 0.0000 0.0000
Al 0.0521 0.6744 0.8150
Al 0.0997 0.7589 0.4121
Al 0.4005 0.1326 0.2705
Al 0.6374 0.8025 0.7902
Al 0.9398 0.1791 0.6480
Al 0.9874 0.2631 0.2472
Sb 0.3112 0.1680 0.6654
Sb 0.3720 0.7388 0.1197
Sb 0.3743 0.5096 0.2840
Sb 0.5199 0.4693 0.0303
Sb 0.6655 0.2000 0.9391
Sb 0.6662 0.4288 0.7761
Sb 0.7284 0.7690 0.3936
Te 0.2611 0.4731 0.0218
Te 0.4100 0.1845 0.9178
Te 0.4179 0.4350 0.7547
Te 0.4846 0.7775 0.3900
Te 0.5550 0.1605 0.6694
Te 0.6222 0.5026 0.3057
Te 0.6288 0.7530 0.1415
Te 0.7792 0.4655 0.0383
Cl 0.9996 0.8640 0.3413
Cl 0.0396 0.0742 0.7202
Cl 0.0524 0.6726 0.9845
Cl 0.0662 0.2902 0.6130
Cl 0.0780 0.8587 0.8364
Cl 0.1447 0.6418 0.2706
Cl 0.1626 0.4037 0.4185
Cl 0.2318 0.6473 0.8256
Cl 0.2705 0.1865 0.1446
Cl 0.2859 0.8869 0.5888
Cl 0.2924 0.0036 0.3043
Cl 0.4998 0.0459 0.1750
Cl 0.5059 0.6320 0.6077
Cl 0.5330 0.3060 0.4508
Cl 0.5391 0.8923 0.8844
Cl 0.7526 0.9348 0.7624
Cl 0.7540 0.0510 0.4715
Cl 0.7718 0.7533 0.9160
Cl 0.8088 0.2916 0.2354
Cl 0.8774 0.5349 0.6419
Cl 0.8952 0.2956 0.7901
Cl 0.9638 0.0766 0.2169
Cl 0.9739 0.6473 0.4472
Cl 0.9886 0.2604 0.0751

---

Simulated X-ray diffraction stick pattern of Ba3YI9 for Cu Kα X-rays, from a structure optimized by DFT (GGA-PBE).
Kinematic intensities with the Lorentz-polarization factor, no thermal factor.

The 8 most intense peaks (10° ≤ 2θ ≤ 80°), low angle first:
- 2θ = 23.58°, rel. 40
- 2θ = 24.71°, rel. 48
- 2θ = 26.33°, rel. 68
- 2θ = 27.38°, rel. 50
- 2θ = 30.23°, rel. 38
- 2θ = 30.55°, rel. 56
- 2θ = 30.89°, rel. 100
- 2θ = 33.24°, rel. 63

Atomic structure:
a b c (Å): 8.5964 7.9861 33.6732
angles (deg): 90.00 91.92 90.00
Sites, in units of the cell vectors:
Ba 0.0000 0.0023 0.0000
Ba 0.0000 0.9977 0.5000
Ba 0.4704 0.4815 0.2614
Ba 0.4704 0.5185 0.7614
Ba 0.5087 0.4710 0.4998
Ba 0.5087 0.5290 0.9998
Ba 0.5778 0.0182 0.3834
Ba 0.5778 0.9818 0.8834
Ba 0.6097 0.0144 0.6211
Ba 0.6097 0.9856 0.1211
Ba 0.9735 0.0296 0.2585
Ba 0.9735 0.9704 0.7585
Y 0.0926 0.4831 0.3854
Y 0.0926 0.5169 0.8854
Y 0.1182 0.4550 0.6255
Y 0.1182 0.5450 0.1255
I 0.1327 0.4009 0.9832
I 0.1327 0.5991 0.4832
I 0.1371 0.3365 0.8008
I 0.1371 0.6635 0.3008
I 0.1802 0.3019 0.1965
I 0.1802 0.6981 0.6965
I 0.2677 0.2053 0.3243
I 0.2677 0.7947 0.8243
I 0.2719 0.1879 0.4380
I 0.2719 0.8121 0.9380
I 0.2798 0.1929 0.5656
I 0.2798 0.8071 0.0656
I 0.3543 0.2480 0.6806
I 0.3543 0.7520 0.1806
I 0.4102 0.3591 0.0939
I 0.4102 0.6409 0.5939
I 0.4322 0.3952 0.8938
I 0.4322 0.6048 0.3938
I 0.6116 0.1074 0.9933
I 0.6116 0.8926 0.4933
I 0.6348 0.1491 0.7906
I 0.6348 0.8509 0.2906
I 0.6901 0.2367 0.2015
I 0.6901 0.7633 0.7015
I 0.8078 0.3263 0.3260
I 0.8078 0.6737 0.8260
I 0.8131 0.3122 0.4384
I 0.8131 0.6878 0.9384
I 0.8244 0.3052 0.5643
I 0.8244 0.6948 0.0643
I 0.8876 0.2646 0.6788
I 0.8876 0.7354 0.1788
I 0.9412 0.1731 0.8952
I 0.9412 0.8269 0.3952
I 0.9475 0.2230 0.0934
I 0.9475 0.7770 0.5934

---

Simulated X-ray diffraction stick pattern of Er3Th for Cu Kα X-rays, from a structure optimized by DFT (GGA-PBE).
Kinematic intensities with the Lorentz-polarization factor, no thermal factor.

The 8 most intense peaks (10° ≤ 2θ ≤ 80°), low angle first:
- 2θ = 29.19°, rel. 24
- 2θ = 31.00°, rel. 26
- 2θ = 33.15°, rel. 100
- 2θ = 43.10°, rel. 17
- 2θ = 51.76°, rel. 19
- 2θ = 56.52°, rel. 22
- 2θ = 61.57°, rel. 23
- 2θ = 62.86°, rel. 16

Atomic structure:
a b c (Å): 3.5322 3.5322 11.5407
angles (deg): 90.00 90.00 120.00
Sites, in units of the cell vectors:
Er 0.0000 0.0000 0.0000
Er 0.6667 0.3333 0.2470
Er 0.6667 0.3333 0.7530
Th 0.0000 0.0000 0.5000

---

Simulated X-ray diffraction stick pattern of La2Ti3CuO10 for Cu Kα X-rays, from a structure optimized by DFT (GGA-PBE).
Kinematic intensities with the Lorentz-polarization factor, no thermal factor.

The 8 most intense peaks (10° ≤ 2θ ≤ 80°), low angle first:
- 2θ = 28.62°, rel. 100
- 2θ = 32.95°, rel. 33
- 2θ = 33.11°, rel. 62
- 2θ = 40.61°, rel. 26
- 2θ = 47.28°, rel. 49
- 2θ = 56.21°, rel. 29
- 2θ = 58.93°, rel. 24
- 2θ = 64.07°, rel. 32

Atomic structure:
a b c (Å): 13.6042 13.6042 13.6042
angles (deg): 163.75 163.75 23.06
Sites, in units of the cell vectors:
La 0.0825 0.0825 0.0000
La 0.9175 0.9175 0.0000
Ti 0.3396 0.3396 0.0000
Ti 0.5000 0.5000 0.0000
Ti 0.6604 0.6604 0.0000
Cu 0.7500 0.2500 0.5000
O 0.9998 0.4998 0.5000
O 0.1433 0.6433 0.5000
O 0.2717 0.2717 0.0000
O 0.3567 0.8567 0.5000
O 0.4267 0.4267 0.0000
O 0.5002 0.0002 0.5000
O 0.5733 0.5733 0.0000
O 0.6451 0.1451 0.5000
O 0.7283 0.7283 0.0000
O 0.8549 0.3549 0.5000